Starting from the GGA-PBE geometry in the Materials Project, the powder diffractogram of Nd2Al9Rh3 was calculated for Cu Kα (λ = 1.5418 Å).

Top 10 peaks for 10 to 90 degrees two-theta, in order of rising 2θ:
hkl 3 1 1, 3.550 Å, rel. 49
hkl 0 2 2, 3.009 Å, rel. 52
hkl 3 1 2, 2.992 Å, rel. 100
hkl 0 2 3, 2.467 Å, rel. 33
hkl 3 1 3, 2.458 Å, rel. 67
hkl 0 0 4, 2.408 Å, rel. 47
hkl 3 3 0, 2.218 Å, rel. 92
hkl 6 0 0, 2.198 Å, rel. 44
hkl 3 3 4, 1.631 Å, rel. 42
hkl 0 2 6, 1.481 Å, rel. 30

Cell and atoms:
```
data_Nd2Al9Rh3
_symmetry_space_group_name_H-M 'C m c m'
_symmetry_Int_Tables_number 63
_symmetry_space_group_name_Hall '-C 2c 2'
_cell_length_a 13.1878
_cell_length_b 7.7064
_cell_length_c 9.6332
_cell_angle_alpha 90.00
_cell_angle_beta 90.00
_cell_angle_gamma 90.00
loop_
_atom_site_label
_atom_site_type_symbol
_atom_site_fract_x
_atom_site_fract_y
_atom_site_fract_z
_atom_site_occupancy
Nd1 Nd 0.1632 0.1678 0.2500 1
Al1 Al 0.0000 0.1278 0.7500 1
Al2 Al 0.0000 0.3349 0.0509 1
Al3 Al 0.1041 0.4416 0.7500 1
Al4 Al 0.1656 0.1690 0.5724 1
Rh1 Rh 0.0000 0.0000 0.0000 1
Rh2 Rh 0.1712 0.5000 0.0000 1
```